[1]
Structure and theoretical XRD peak list of Nd5Er4Tm4 (a cell relaxed with PBE; Cu Ka).
Neutral-atom scattering factors, no anomalous dispersion.

a b c (Å): 9.450 9.450 9.450
angles (deg): 94.07 94.07 149.11
Positions (direct):
Nd1 0.000 0.000 0.000
Nd2 0.305 0.461 0.766
Nd3 0.461 0.695 0.156
Nd4 0.539 0.305 0.844
Nd5 0.695 0.539 0.234
Er1 0.076 0.614 0.690
Er2 0.386 0.076 0.462
Er3 0.614 0.924 0.538
Er4 0.924 0.386 0.310
Tm1 0.155 0.233 0.388
Tm2 0.233 0.845 0.078
Tm3 0.767 0.155 0.922
Tm4 0.845 0.767 0.612

Peak list (9 most intense, 5 to 70 degrees two-theta, in order of rising 2θ)
- 9.71°, I = 1
- 30.68°, I = 100
- 35.53°, I = 34
- 35.67°, I = 17
- 51.13°, I = 12
- 51.23°, I = 24
- 60.82°, I = 29
- 61.00°, I = 14
- 63.90°, I = 12

[2]
Structure and theoretical XRD peak list of Sm5MgCd2 (a cell relaxed with PBE; Cu Ka).
Neutral-atom scattering factors, no anomalous dispersion.

a b c (Å): 6.238 6.238 16.687
angles (deg): 90.00 90.00 134.03
Positions (direct):
Sm1 0.011 0.989 0.750
Sm2 0.153 0.847 0.535
Sm3 0.153 0.847 0.965
Sm4 0.458 0.542 0.600
Sm5 0.458 0.542 0.900
Sm6 0.542 0.458 0.100
Sm7 0.542 0.458 0.400
Sm8 0.847 0.153 0.035
Sm9 0.847 0.153 0.465
Sm10 0.989 0.011 0.250
Mg1 0.289 0.711 0.750
Mg2 0.711 0.289 0.250
Cd1 0.266 0.734 0.156
Cd2 0.266 0.734 0.344
Cd3 0.734 0.266 0.656
Cd4 0.734 0.266 0.844

Peak list (10 most intense, 5 to 70 degrees two-theta, in order of rising 2θ)
- 29.24°, I = 100
- 30.17°, I = 41
- 31.60°, I = 93
- 32.99°, I = 23
- 33.47°, I = 63
- 35.17°, I = 24
- 35.88°, I = 37
- 36.90°, I = 55
- 52.42°, I = 25
- 59.00°, I = 44

[3]
Structure and theoretical XRD peak list of Sm13Dy2 (a cell relaxed with PBE; Cu Ka).
Neutral-atom scattering factors, no anomalous dispersion.

a b c (Å): 6.716 9.069 9.071
angles (deg): 66.27 82.16 82.13
Positions (direct):
Sm1 0.000 0.000 0.000
Sm2 0.102 0.435 0.765
Sm3 0.196 0.197 0.205
Sm4 0.298 0.630 0.972
Sm5 0.304 0.962 0.637
Sm6 0.398 0.398 0.403
Sm7 0.498 0.168 0.834
Sm8 0.502 0.832 0.166
Sm9 0.602 0.602 0.597
Sm10 0.696 0.038 0.363
Sm11 0.702 0.370 0.028
Sm12 0.804 0.803 0.795
Sm13 0.898 0.565 0.235
Dy1 0.098 0.769 0.431
Dy2 0.902 0.231 0.569

Peak list (10 most intense, 5 to 70 degrees two-theta, in order of rising 2θ)
- 25.33°, I = 3
- 31.22°, I = 100
- 40.64°, I = 6
- 44.73°, I = 17
- 52.01°, I = 4
- 55.55°, I = 3
- 55.59°, I = 26
- 61.92°, I = 8
- 61.96°, I = 8
- 65.18°, I = 6

[4]
Structure and theoretical XRD peak list of Cs2InHg6 (a cell relaxed with PBE; Cu Ka).
Neutral-atom scattering factors, no anomalous dispersion.

a b c (Å): 7.732 7.732 7.732
angles (deg): 60.00 60.00 60.00
Positions (direct):
Cs1 0.250 0.250 0.250
Cs2 0.750 0.750 0.750
In1 0.000 0.000 0.000
Hg1 0.286 0.286 0.714
Hg2 0.286 0.714 0.286
Hg3 0.286 0.714 0.714
Hg4 0.714 0.286 0.286
Hg5 0.714 0.286 0.714
Hg6 0.714 0.714 0.286

Peak list (10 most intense, 5 to 70 degrees two-theta, in order of rising 2θ)
- 16.21°, I = 16
- 28.27°, I = 100
- 32.76°, I = 70
- 35.80°, I = 31
- 42.98°, I = 29
- 47.01°, I = 41
- 55.77°, I = 28
- 58.48°, I = 11
- 60.46°, I = 15
- 65.58°, I = 20

[5]
Structure and theoretical XRD peak list of La4AlN (a cell relaxed with PBE; Cu Ka).
Neutral-atom scattering factors, no anomalous dispersion.

a b c (Å): 8.112 8.112 7.233
angles (deg): 105.19 105.19 45.30
Positions (direct):
La1 0.003 0.188 0.464
La2 0.188 0.003 0.964
La3 0.235 0.385 0.843
La4 0.385 0.235 0.343
La5 0.615 0.765 0.657
La6 0.765 0.615 0.157
La7 0.812 0.997 0.036
La8 0.997 0.812 0.536
Al1 0.406 0.594 0.250
Al2 0.594 0.406 0.750
N1 0.000 0.500 0.500
N2 0.500 0.000 0.000

Peak list (10 most intense, 5 to 70 degrees two-theta, in order of rising 2θ)
- 23.41°, I = 19
- 28.57°, I = 19
- 29.24°, I = 38
- 30.33°, I = 65
- 31.64°, I = 100
- 32.43°, I = 93
- 34.37°, I = 75
- 51.02°, I = 35
- 52.87°, I = 20
- 58.79°, I = 21

[6]
Structure and theoretical XRD peak list of AgTeF4 (a cell relaxed with PBE; Cu Ka).
Neutral-atom scattering factors, no anomalous dispersion.

a b c (Å): 6.958 6.958 6.958
angles (deg): 105.32 105.32 118.14
Positions (direct):
Ag1 0.000 0.000 0.000
Ag2 0.750 0.250 0.500
Te1 0.258 0.758 0.500
Te2 0.508 0.508 0.000
F1 0.196 0.536 0.660
F2 0.286 0.125 0.840
F3 0.286 0.446 0.160
F4 0.296 0.969 0.327
F5 0.642 0.969 0.673
F6 0.719 0.546 0.827
F7 0.719 0.892 0.173
F8 0.875 0.536 0.340

Peak list (10 most intense, 5 to 70 degrees two-theta, in order of rising 2θ)
- 21.05°, I = 100
- 29.11°, I = 53
- 29.94°, I = 24
- 42.25°, I = 62
- 42.86°, I = 15
- 48.22°, I = 13
- 52.65°, I = 22
- 55.84°, I = 13
- 60.35°, I = 7
- 61.76°, I = 13

[7]
Structure and theoretical XRD peak list of La2CeHo3Se6 (a cell relaxed with PBE; Cu Ka).
Neutral-atom scattering factors, no anomalous dispersion.

a b c (Å): 9.368 9.368 8.445
angles (deg): 104.43 104.43 25.38
Positions (direct):
La1 0.165 0.165 0.331
La2 0.835 0.835 0.669
Ce1 0.500 0.500 0.000
Ho1 0.168 0.168 0.835
Ho2 0.500 0.500 0.500
Ho3 0.832 0.832 0.165
Se1 0.005 0.005 0.743
Se2 0.330 0.330 0.929
Se3 0.337 0.337 0.405
Se4 0.663 0.663 0.595
Se5 0.670 0.670 0.071
Se6 0.995 0.995 0.257

Peak list (10 most intense, 5 to 70 degrees two-theta, in order of rising 2θ)
- 26.41°, I = 9
- 30.33°, I = 100
- 42.85°, I = 13
- 43.03°, I = 25
- 43.84°, I = 24
- 43.99°, I = 12
- 52.71°, I = 7
- 54.09°, I = 6
- 54.38°, I = 13
- 63.10°, I = 12

[8]
Structure and theoretical XRD peak list of Ce6Zn5Ag (a cell relaxed with PBE; Cu Ka).
Neutral-atom scattering factors, no anomalous dispersion.

a b c (Å): 5.495 6.251 8.292
angles (deg): 67.93 88.58 89.83
Positions (direct):
Ce1 0.008 0.231 0.490
Ce2 0.321 0.397 0.172
Ce3 0.341 0.942 0.153
Ce4 0.659 0.058 0.847
Ce5 0.679 0.603 0.828
Ce6 0.992 0.769 0.510
Zn1 0.167 0.337 0.824
Zn2 0.169 0.831 0.840
Zn3 0.500 0.000 0.500
Zn4 0.831 0.169 0.160
Zn5 0.833 0.663 0.176
Ag1 0.500 0.500 0.500

Peak list (10 most intense, 5 to 70 degrees two-theta, in order of rising 2θ)
- 19.62°, I = 17
- 34.89°, I = 99
- 35.01°, I = 100
- 39.86°, I = 35
- 40.87°, I = 31
- 40.99°, I = 31
- 58.33°, I = 11
- 58.50°, I = 32
- 59.42°, I = 10
- 69.20°, I = 13

[9]
Structure and theoretical XRD peak list of MgPaCo2 (a cell relaxed with PBE; Cu Ka).
Neutral-atom scattering factors, no anomalous dispersion.

a b c (Å): 4.447 4.447 3.252
angles (deg): 90.00 90.00 90.00
Positions (direct):
Mg1 0.000 0.000 0.000
Pa1 0.500 0.500 0.000
Co1 0.000 0.500 0.500
Co2 0.500 0.000 0.500

Peak list (10 most intense, 5 to 70 degrees two-theta, in order of rising 2θ)
- 19.96°, I = 80
- 28.38°, I = 14
- 34.16°, I = 43
- 39.88°, I = 100
- 40.57°, I = 48
- 45.61°, I = 20
- 54.05°, I = 24
- 56.61°, I = 9
- 58.72°, I = 16
- 60.65°, I = 9

[10]
Structure and theoretical XRD peak list of Al2PdAu4 (a cell relaxed with PBE; Cu Ka).
Neutral-atom scattering factors, no anomalous dispersion.

a b c (Å): 6.845 6.845 6.845
angles (deg): 109.19 109.19 110.04
Positions (direct):
Al1 0.018 0.625 0.893
Al2 0.375 0.268 0.393
Al3 0.732 0.125 0.107
Al4 0.875 0.982 0.607
Pd1 0.250 0.750 0.500
Pd2 0.500 0.500 0.000
Au1 0.103 0.360 0.582
Au2 0.110 0.353 0.082
Au3 0.271 0.028 0.918
Au4 0.479 0.897 0.257
Au5 0.640 0.222 0.743
Au6 0.647 0.729 0.757
Au7 0.778 0.521 0.418
Au8 0.972 0.890 0.243

Peak list (10 most intense, 5 to 70 degrees two-theta, in order of rising 2θ)
- 27.60°, I = 73
- 27.75°, I = 31
- 32.09°, I = 23
- 35.83°, I = 100
- 36.15°, I = 67
- 42.69°, I = 67
- 42.79°, I = 66
- 56.98°, I = 31
- 57.31°, I = 28
- 59.44°, I = 22

[11]
Structure and theoretical XRD peak list of Ba (a cell relaxed with PBE; Cu Ka).
Neutral-atom scattering factors, no anomalous dispersion.

a b c (Å): 4.488 4.488 4.488
angles (deg): 60.00 60.00 60.00
Positions (direct):
Ba1 0.000 0.000 0.000

Peak list (8 most intense, 5 to 70 degrees two-theta, in order of rising 2θ)
- 24.29°, I = 100
- 28.12°, I = 52
- 40.19°, I = 39
- 47.51°, I = 48
- 49.76°, I = 14
- 58.14°, I = 7
- 63.93°, I = 20
- 65.80°, I = 18

[12]
Structure and theoretical XRD peak list of K17Na11Mg (a cell relaxed with PBE; Cu Ka).
Neutral-atom scattering factors, no anomalous dispersion.

a b c (Å): 12.733 12.733 12.693
angles (deg): 109.12 109.12 109.25
Positions (direct):
K1 0.000 0.000 0.000
K2 0.014 0.014 0.618
K3 0.088 0.681 0.964
K4 0.093 0.361 0.281
K5 0.275 0.275 0.572
K6 0.278 0.978 0.883
K7 0.330 0.672 0.277
K8 0.360 0.679 0.693
K9 0.361 0.093 0.281
K10 0.391 0.986 0.589
K11 0.671 0.671 0.275
K12 0.672 0.330 0.277
K13 0.679 0.360 0.693
K14 0.681 0.088 0.964
K15 0.684 0.684 0.932
K16 0.978 0.278 0.883
K17 0.986 0.391 0.589
Na1 0.037 0.675 0.460
Na2 0.037 0.857 0.278
Na3 0.322 0.496 0.932
Na4 0.492 0.492 0.449
Na5 0.496 0.322 0.932
Na6 0.501 0.863 0.103
Na7 0.675 0.037 0.460
Na8 0.675 0.854 0.641
Na9 0.854 0.675 0.641
Na10 0.857 0.037 0.278
Na11 0.863 0.501 0.103
Mg1 0.323 0.323 0.105

Peak list (10 most intense, 5 to 70 degrees two-theta, in order of rising 2θ)
- 24.15°, I = 22
- 25.49°, I = 100
- 25.65°, I = 83
- 25.77°, I = 99
- 28.46°, I = 25
- 28.55°, I = 16
- 29.74°, I = 14
- 45.14°, I = 19
- 45.25°, I = 12
- 45.38°, I = 21

[13]
Structure and theoretical XRD peak list of GdGe6 (a cell relaxed with PBE; Cu Ka).
Neutral-atom scattering factors, no anomalous dispersion.

a b c (Å): 6.121 6.121 6.121
angles (deg): 109.47 109.47 109.47
Positions (direct):
Gd1 0.000 0.000 0.000
Ge1 0.250 0.500 0.750
Ge2 0.250 0.750 0.500
Ge3 0.500 0.250 0.750
Ge4 0.500 0.750 0.250
Ge5 0.750 0.250 0.500
Ge6 0.750 0.500 0.250

Peak list (7 most intense, 5 to 70 degrees two-theta, in order of rising 2θ)
- 25.20°, I = 42
- 30.99°, I = 100
- 44.40°, I = 12
- 48.17°, I = 58
- 51.73°, I = 23
- 58.39°, I = 16
- 61.54°, I = 14